[1]
Starting from DFT lattice parameters and positions (GGA-PBE), the powder XRD pattern of Mg5In3Ga3 was calculated for copper Kα.
Intensities are scaled so that the largest is 100.

Main lines, in order of rising 2θ (15 to 90 degrees two-theta):
d = 4.349 Å, I 53
d = 3.767 Å, I 85
d = 3.088 Å, I 100
d = 2.857 Å, I 93
d = 2.388 Å, I 60
d = 2.178 Å, I 45
d = 1.948 Å, I 46
d = 1.886 Å, I 49

Structure:
a b c (Å): 8.6985 8.6985 4.3845
angles (deg): 90.00 90.00 120.00
Fractional coordinates of all 11 atoms:
Mg 0.0000 0.2166 0.0000
Mg 0.2166 0.0000 0.0000
Mg 0.3333 0.6667 0.0000
Mg 0.6667 0.3333 0.0000
Mg 0.7834 0.7834 0.0000
In 0.0000 0.4500 0.5000
In 0.4500 0.0000 0.5000
In 0.5500 0.5500 0.5000
Ga 0.0000 0.6437 0.0000
Ga 0.3563 0.3563 0.0000
Ga 0.6437 0.0000 0.0000

=====

[2]
Starting from DFT lattice parameters and positions (GGA-PBE), the powder XRD pattern of Ho3SbS2 was calculated for copper Kα.
Intensities are scaled so that the largest is 100.

Main lines, in order of rising 2θ (15 to 90 degrees two-theta):
d = 5.508 Å, I 19
d = 3.365 Å, I 41
d = 3.150 Å, I 19
d = 2.791 Å, I 17
d = 2.667 Å, I 33
d = 2.447 Å, I 100
d = 2.418 Å, I 19
d = 1.494 Å, I 17

Structure:
a b c (Å): 7.7435 7.7435 7.7435
angles (deg): 125.18 92.94 111.87
Fractional coordinates of all 12 atoms:
Ho 0.0000 0.2292 0.2292
Ho 0.0000 0.7708 0.7708
Ho 0.5000 0.0000 0.0000
Ho 0.5000 0.2292 0.7292
Ho 0.5000 0.5000 0.5000
Ho 0.5000 0.7708 0.2708
Sb 0.1870 0.9370 0.2500
Sb 0.8130 0.0630 0.7500
S 0.2627 0.7056 0.5571
S 0.3515 0.2944 0.0571
S 0.6485 0.7056 0.9429
S 0.7373 0.2944 0.4429

=====

[3]
Starting from DFT lattice parameters and positions (GGA-PBE), the powder XRD pattern of Cd6Pt was calculated for copper Kα.
Intensities are scaled so that the largest is 100.

Main lines, in order of rising 2θ (15 to 90 degrees two-theta):
d = 2.815 Å, I 34
d = 2.512 Å, I 59
d = 2.461 Å, I 26
d = 2.435 Å, I 37
d = 2.394 Å, I 93
d = 2.326 Å, I 54
d = 2.297 Å, I 100
d = 2.245 Å, I 47

Structure:
a b c (Å): 5.5324 5.5324 9.8435
angles (deg): 90.00 90.00 82.10
Fractional coordinates of all 14 atoms:
Cd 0.0228 0.6079 0.2500
Cd 0.1441 0.8559 0.5953
Cd 0.1441 0.8559 0.9047
Cd 0.3216 0.3216 0.0000
Cd 0.3216 0.3216 0.5000
Cd 0.3921 0.9772 0.2500
Cd 0.6079 0.0228 0.7500
Cd 0.6784 0.6784 0.0000
Cd 0.6784 0.6784 0.5000
Cd 0.8559 0.1441 0.0953
Cd 0.8559 0.1441 0.4047
Cd 0.9772 0.3921 0.7500
Pt 0.4672 0.5328 0.7500
Pt 0.5328 0.4672 0.2500

=====

[4]
Starting from DFT lattice parameters and positions (GGA-PBE), the powder XRD pattern of Ho4In3Au was calculated for copper Kα.
Intensities are scaled so that the largest is 100.

Main lines, in order of rising 2θ (15 to 90 degrees two-theta):
d = 2.670 Å, I 100
d = 2.506 Å, I 44
d = 2.030 Å, I 10
d = 1.772 Å, I 16
d = 1.577 Å, I 17
d = 1.476 Å, I 33
d = 1.335 Å, I 10
d = 1.134 Å, I 8

Structure:
a b c (Å): 3.5437 3.5437 16.2418
angles (deg): 90.00 90.00 90.00
Fractional coordinates of all 8 atoms:
Ho 0.0000 0.0000 0.1101
Ho 0.0000 0.0000 0.3701
Ho 0.0000 0.0000 0.6299
Ho 0.0000 0.0000 0.8899
In 0.5000 0.5000 0.2405
In 0.5000 0.5000 0.5000
In 0.5000 0.5000 0.7595
Au 0.5000 0.5000 0.0000